# 1
Diffraction record for Cs3Hg3Bi2. The X-ray powder pattern is theoretical, not measured: it uses a DFT-relaxed cell (PBE, Alexandria) and Cu Kα.
No peak broadening, texture or thermal motion is included.

Main lines, low angle first (2θ from 10° to 90°):
| 2θ (°) | intensity |
| --- | --- |
| 14.54 | 40 |
| 18.38 | 38 |
| 25.38 | 43 |
| 25.54 | 40 |
| 28.54 | 76 |
| 28.67 | 49 |
| 28.81 | 100 |
| 29.00 | 94 |
| 31.52 | 78 |
| 36.76 | 37 |

Cell and atoms:
```
data_Cs3Hg3Bi2
_symmetry_space_group_name_H-M 'P 1'
_symmetry_Int_Tables_number 1
_cell_length_a 10.0921
_cell_length_b 18.6843
_cell_length_c 7.6413
_cell_angle_alpha 90.00
_cell_angle_beta 90.00
_cell_angle_gamma 90.00
loop_
_symmetry_equiv_pos_as_xyz
'x,y,z'
loop_
_atom_site_label
_atom_site_type_symbol
_atom_site_fract_x
_atom_site_fract_y
_atom_site_fract_z
Cs1 Cs 0.0237 0.1007 0.1292
Cs2 Cs 0.0237 0.3993 0.1292
Cs3 Cs 0.1491 0.2500 0.6380
Cs4 Cs 0.3509 0.7500 0.1380
Cs5 Cs 0.4763 0.6007 0.6292
Cs6 Cs 0.4763 0.8993 0.6292
Cs7 Cs 0.5237 0.1007 0.3708
Cs8 Cs 0.5237 0.3993 0.3708
Cs9 Cs 0.6491 0.2500 0.8620
Cs10 Cs 0.8509 0.7500 0.3620
Cs11 Cs 0.9763 0.6007 0.8708
Cs12 Cs 0.9763 0.8993 0.8708
Hg1 Hg 0.1646 0.0394 0.6031
Hg2 Hg 0.1646 0.4606 0.6031
Hg3 Hg 0.1947 0.7500 0.6260
Hg4 Hg 0.3053 0.2500 0.1260
Hg5 Hg 0.3354 0.5394 0.1031
Hg6 Hg 0.3354 0.9606 0.1031
Hg7 Hg 0.6646 0.0394 0.8969
Hg8 Hg 0.6646 0.4606 0.8969
Hg9 Hg 0.6947 0.7500 0.8740
Hg10 Hg 0.8053 0.2500 0.3740
Hg11 Hg 0.8354 0.5394 0.3969
Hg12 Hg 0.8354 0.9606 0.3969
Bi1 Bi 0.1306 0.5911 0.3622
Bi2 Bi 0.1306 0.9089 0.3622
Bi3 Bi 0.3694 0.0911 0.8622
Bi4 Bi 0.3694 0.4089 0.8622
Bi5 Bi 0.6306 0.5911 0.1378
Bi6 Bi 0.6306 0.9089 0.1378
Bi7 Bi 0.8694 0.0911 0.6378
Bi8 Bi 0.8694 0.4089 0.6378
```

# 2
Diffraction record for Sc2GaPt3. The X-ray powder pattern is theoretical, not measured: it uses a DFT-relaxed cell (PBE, Alexandria) and Cu Kα.
No peak broadening, texture or thermal motion is included.

Main lines, low angle first (2θ from 10° to 90°):
| 2θ (°) | intensity |
| --- | --- |
| 27.26 | 64 |
| 30.97 | 35 |
| 33.40 | 100 |
| 34.60 | 56 |
| 42.90 | 31 |
| 48.85 | 69 |
| 53.84 | 17 |
| 56.24 | 28 |
| 82.67 | 15 |
| 82.93 | 15 |

Cell and atoms:
```
data_Sc2GaPt3
_symmetry_space_group_name_H-M 'P 1'
_symmetry_Int_Tables_number 1
_cell_length_a 6.1939
_cell_length_b 6.1939
_cell_length_c 6.1939
_cell_angle_alpha 140.20
_cell_angle_beta 130.51
_cell_angle_gamma 65.30
loop_
_symmetry_equiv_pos_as_xyz
'x,y,z'
loop_
_atom_site_label
_atom_site_type_symbol
_atom_site_fract_x
_atom_site_fract_y
_atom_site_fract_z
Sc1 Sc 0.1932 0.1932 0.0000
Sc2 Sc 0.8068 0.8068 0.0000
Ga1 Ga 0.5000 0.5000 0.0000
Pt1 Pt 0.0000 0.5000 0.5000
Pt2 Pt 0.3644 0.8644 0.5000
Pt3 Pt 0.6356 0.1356 0.5000
```

# 3
Diffraction record for LaSmGaOs. The X-ray powder pattern is theoretical, not measured: it uses a DFT-relaxed cell (PBE, Alexandria) and Cu Kα.
No peak broadening, texture or thermal motion is included.

Main lines, low angle first (2θ from 10° to 90°):
| 2θ (°) | intensity |
| --- | --- |
| 21.30 | 10 |
| 35.13 | 100 |
| 41.44 | 6 |
| 50.52 | 18 |
| 55.42 | 2 |
| 63.02 | 37 |
| 67.33 | 2 |
| 74.24 | 11 |
| 78.27 | 2 |
| 84.87 | 16 |

Cell and atoms:
```
data_LaSmGaOs
_symmetry_space_group_name_H-M 'P 1'
_symmetry_Int_Tables_number 1
_cell_length_a 5.1096
_cell_length_b 5.1096
_cell_length_c 5.1096
_cell_angle_alpha 60.00
_cell_angle_beta 60.00
_cell_angle_gamma 60.00
loop_
_symmetry_equiv_pos_as_xyz
'x,y,z'
loop_
_atom_site_label
_atom_site_type_symbol
_atom_site_fract_x
_atom_site_fract_y
_atom_site_fract_z
La1 La 0.0000 0.0000 0.0000
Sm1 Sm 0.5000 0.5000 0.5000
Ga1 Ga 0.7500 0.7500 0.7500
Os1 Os 0.2500 0.2500 0.2500
```

# 4
Diffraction record for Li14GaAu. The X-ray powder pattern is theoretical, not measured: it uses a DFT-relaxed cell (PBE, Alexandria) and Cu Kα.
No peak broadening, texture or thermal motion is included.

Main lines, low angle first (2θ from 10° to 90°):
| 2θ (°) | intensity |
| --- | --- |
| 10.79 | 100 |
| 14.97 | 21 |
| 18.49 | 26 |
| 21.23 | 43 |
| 21.67 | 21 |
| 23.87 | 66 |
| 30.21 | 18 |
| 30.52 | 36 |
| 32.16 | 30 |
| 37.48 | 36 |

Cell and atoms:
```
data_Li14GaAu
_symmetry_space_group_name_H-M 'P 1'
_symmetry_Int_Tables_number 1
_cell_length_a 5.9176
_cell_length_b 5.9176
_cell_length_c 8.2018
_cell_angle_alpha 90.00
_cell_angle_beta 90.00
_cell_angle_gamma 90.00
loop_
_symmetry_equiv_pos_as_xyz
'x,y,z'
loop_
_atom_site_label
_atom_site_type_symbol
_atom_site_fract_x
_atom_site_fract_y
_atom_site_fract_z
Li1 Li 0.0000 0.0000 0.0000
Li2 Li 0.0000 0.5000 0.0000
Li3 Li 0.0000 0.5000 0.5000
Li4 Li 0.2491 0.2491 0.2721
Li5 Li 0.2491 0.2491 0.7279
Li6 Li 0.2491 0.7509 0.2721
Li7 Li 0.2491 0.7509 0.7279
Li8 Li 0.5000 0.0000 0.0000
Li9 Li 0.5000 0.0000 0.5000
Li10 Li 0.5000 0.5000 0.0000
Li11 Li 0.7509 0.2491 0.2721
Li12 Li 0.7509 0.2491 0.7279
Li13 Li 0.7509 0.7509 0.2721
Li14 Li 0.7509 0.7509 0.7279
Ga1 Ga 0.5000 0.5000 0.5000
Au1 Au 0.0000 0.0000 0.5000
```

# 5
Diffraction record for CsThNpS4. The X-ray powder pattern is theoretical, not measured: it uses a DFT-relaxed cell (PBE, Alexandria) and Cu Kα.
No peak broadening, texture or thermal motion is included.

Main lines, low angle first (2θ from 10° to 90°):
| 2θ (°) | intensity |
| --- | --- |
| 12.36 | 32 |
| 12.47 | 31 |
| 23.80 | 47 |
| 23.95 | 100 |
| 24.88 | 27 |
| 25.09 | 24 |
| 28.93 | 46 |
| 37.73 | 29 |
| 37.92 | 44 |
| 41.39 | 56 |

Cell and atoms:
```
data_CsThNpS4
_symmetry_space_group_name_H-M 'P 1'
_symmetry_Int_Tables_number 1
_cell_length_a 8.7272
_cell_length_b 8.7272
_cell_length_c 8.7272
_cell_angle_alpha 120.33
_cell_angle_beta 119.50
_cell_angle_gamma 90.16
loop_
_symmetry_equiv_pos_as_xyz
'x,y,z'
loop_
_atom_site_label
_atom_site_type_symbol
_atom_site_fract_x
_atom_site_fract_y
_atom_site_fract_z
Cs1 Cs 0.3810 0.1310 0.2500
Cs2 Cs 0.6190 0.8690 0.7500
Th1 Th 0.0000 0.5000 0.5000
Th2 Th 0.5000 0.5000 0.0000
Np1 Np 0.0000 0.0000 0.5000
Np2 Np 0.0000 0.5000 0.0000
S1 S 0.1738 0.7244 0.4494
S2 S 0.2250 0.2756 0.9494
S3 S 0.2289 0.2769 0.5480
S4 S 0.2289 0.6809 0.9520
S5 S 0.7711 0.3191 0.0480
S6 S 0.7711 0.7231 0.4520
S7 S 0.7750 0.7244 0.0506
S8 S 0.8262 0.2756 0.5506
```

# 6
Diffraction record for ThBiBr. The X-ray powder pattern is theoretical, not measured: it uses a DFT-relaxed cell (PBE, Alexandria) and Cu Kα.
No peak broadening, texture or thermal motion is included.

Main lines, low angle first (2θ from 10° to 90°):
| 2θ (°) | intensity |
| --- | --- |
| 20.19 | 15 |
| 29.78 | 100 |
| 35.35 | 58 |
| 44.14 | 11 |
| 46.87 | 30 |
| 57.77 | 29 |
| 60.05 | 29 |
| 63.45 | 11 |
| 80.52 | 12 |
| 82.49 | 12 |

Cell and atoms:
```
data_ThBiBr
_symmetry_space_group_name_H-M 'P 1'
_symmetry_Int_Tables_number 1
_cell_length_a 5.0786
_cell_length_b 5.0786
_cell_length_c 4.1035
_cell_angle_alpha 90.00
_cell_angle_beta 90.00
_cell_angle_gamma 120.00
loop_
_symmetry_equiv_pos_as_xyz
'x,y,z'
loop_
_atom_site_label
_atom_site_type_symbol
_atom_site_fract_x
_atom_site_fract_y
_atom_site_fract_z
Th1 Th 0.0000 0.0000 0.0000
Bi1 Bi 0.6667 0.3333 0.5000
Br1 Br 0.3333 0.6667 0.0000
```